Simulated X-ray diffraction stick pattern
Compound: PrBeV2O7
Radiation: Cu Kα (weighted mean of Kα1 and Kα2)
Structure: the GGA+U geometry in Alexandria

Top 10 peaks for 10 to 80 degrees two-theta, in order of rising 2θ:
| two_theta | d/Å | I_rel |
| --- | --- | --- |
| 11.0 | 8.050 | 73 |
| 28.8 | 3.104 | 100 |
| 33.3 | 2.690 | 42 |
| 35.2 | 2.552 | 18 |
| 36.6 | 2.458 | 36 |
| 40.3 | 2.237 | 18 |
| 47.8 | 1.902 | 49 |
| 56.7 | 1.622 | 28 |
| 57.2 | 1.611 | 18 |
| 67.8 | 1.382 | 20 |

Structure:
a = 8.488 Å, b = 8.488 Å, c = 8.488 Å
α = 154.09°, β = 154.09°, γ = 36.97°
Sites, in units of the cell vectors:
Pr1 0.000 0.000 0.000
Be1 0.750 0.250 0.500
V1 0.371 0.371 0.000
V2 0.629 0.629 0.000
O1 0.100 0.600 0.500
O2 0.263 0.263 0.000
O3 0.400 0.900 0.500
O4 0.500 0.500 0.000
O5 0.630 0.130 0.500
O6 0.737 0.737 0.000
O7 0.870 0.370 0.500